Diffraction record for FeSbRh2. The powder diffraction line list is theoretical, not measured: it uses a cell relaxed with PBE and Cu Kα.
Neutral-atom scattering factors, no anomalous dispersion.

Principal peaks in the range 2θ from 10° to 90°, sorted by position:
2θ 25.0, I = 8, hkl 1 0 1; 2θ 39.7, I = 100, hkl 1 1 2; 2θ 44.6, I = 36, hkl 2 0 0; 2θ 49.2, I = 13, hkl 0 0 4; 2θ 51.8, I = 2, hkl 2 1 1; 2θ 64.9, I = 11, hkl 2 2 0; 2θ 68.6, I = 19, hkl 2 0 4; 2θ 78.8, I = 25, hkl 3 1 2; 2θ 85.5, I = 10, hkl 2 2 4; 2θ 85.6, I = 10, hkl 1 1 6

Structure:
Cell: 4.0658 4.0658 7.4059 Å, 90.00 90.00 90.00°
Space group I4/mmm (No. 139)
Unique sites:
Fe1 0.0000 0.0000 0.0000
Sb1 0.0000 0.0000 0.5000
Rh1 0.0000 0.5000 0.2500



Diffraction record for FeRh2Se4. The powder diffraction line list is theoretical, not measured: it uses a cell relaxed with PBE and Cu Kα.
Neutral-atom scattering factors, no anomalous dispersion.

Principal peaks in the range 2θ from 10° to 90°, sorted by position:
2θ 16.5, I = 34, hkl 2 0 0; 2θ 32.2, I = 100, hkl 1 1 1; 2θ 32.4, I = 58, hkl 4 0 -2; 2θ 43.5, I = 17, hkl 2 0 2; 2θ 43.6, I = 40, hkl 3 1 1; 2θ 43.8, I = 40, hkl 5 1 -1; 2θ 43.9, I = 21, hkl 6 0 -2; 2θ 48.7, I = 86, hkl 0 2 0; 2θ 58.9, I = 16, hkl 7 1 -1; 2θ 59.7, I = 18, hkl 4 2 -2

Structure:
Cell: 12.5178 3.7397 6.4822 Å, 90.00 120.58 90.00°
Space group C2/m (No. 12)
Unique sites:
Fe1 0.0000 0.0000 0.0000
Rh1 0.2373 0.5000 0.7199
Se1 0.1188 0.0000 0.4458
Se2 0.1335 0.5000 0.9753



Diffraction record for FeRh2Se4. The powder diffraction line list is theoretical, not measured: it uses a cell relaxed with PBE and Cu Kα.
Neutral-atom scattering factors, no anomalous dispersion.

Principal peaks in the range 2θ from 10° to 90°, sorted by position:
2θ 16.6, I = 39, hkl 0 1 1; 2θ 32.1, I = 94, hkl 1 1 0; 2θ 32.2, I = 56, hkl 1 -1 1; 2θ 33.0, I = 49, hkl -1 1 1; 2θ 33.7, I = 59, hkl 0 2 2; 2θ 42.7, I = 96, hkl 1 1 -1; 2θ 44.0, I = 90, hkl 1 1 3; 2θ 44.9, I = 39, hkl 0 2 3; 2θ 49.6, I = 58, hkl 2 0 1; 2θ 50.3, I = 100, hkl 1 3 2

Structure:
Cell: 3.6735 6.2658 6.4866 Å, 64.13 73.62 89.94°
Space group P1 (No. 1)
Unique sites:
Fe1 0.0000 0.0000 0.0000
Rh1 0.4783 0.4118 0.0484
Rh2 0.7454 0.7042 0.5088
Se1 0.1047 0.7288 0.7916
Se2 0.3795 0.6897 0.2400
Se3 0.6224 0.2461 0.7538
Se4 0.8601 0.1564 0.2856